Simulated powder X-ray diffraction pattern
Compound: VCuSO
Radiation: Cu Kα X-rays
Structure: a PBE+U-relaxed structure
Kinematic intensities with the Lorentz-polarization factor, no thermal factor.

Atomic structure:
```
data_VCuSO
_chemical_formula_sum 'V2 Cu2 S2 O2'
_symmetry_space_group_name_H-M 'P -1'
_symmetry_Int_Tables_number 2
_cell_length_a 3.264
_cell_length_b 5.897
_cell_length_c 6.375
_cell_angle_alpha 77.82
_cell_angle_beta 89.93
_cell_angle_gamma 89.99
loop_
_symmetry_equiv_pos_as_xyz
'x,y,z'
'-x,-y,-z'
loop_
_atom_site_label
_atom_site_fract_x
_atom_site_fract_y
_atom_site_fract_z
V1 0.250 0.229 0.480
Cu1 0.251 0.815 0.954
S1 0.251 0.642 0.282
O1 0.250 0.886 0.654
```

Main lines, by intensity (5 to 70 degrees two-theta):
2θ/deg, I_rel
33.3, 100.0
31.0, 32.9
54.7, 19.5
28.6, 19.4
51.8, 18.8
36.1, 16.2